Calculated powder diffraction line list
Compound: Li2Ce2CoO6
Radiation: Cu Kα (λ = 1.5418 Å)
Structure: a GGA+U-relaxed structure
Peak positions follow from Bragg's law for the DFT cell and can differ from measured ones.

Atomic structure:
a b c (Å): 5.711 5.711 5.711
angles (deg): 58.74 58.74 58.74
Positions (direct):
Li 0.077 0.077 0.077
Li 0.923 0.923 0.923
Ce 0.291 0.291 0.291
Ce 0.709 0.709 0.709
Co 0.500 0.500 0.500
O 0.262 0.262 0.714
O 0.262 0.714 0.262
O 0.286 0.738 0.738
O 0.714 0.262 0.262
O 0.738 0.286 0.738
O 0.738 0.738 0.286

Largest 8 diffraction maxima, sorted by position, 2θ from 10° to 80°:
two_theta	intensity
19.3	64
22.2	46
32.0	100
36.8	68
39.3	40
45.4	31
49.5	34
60.2	39